Tb2Pm2Nd2Ho: computed powder diffraction line list (Cu Kα), based on the PBE geometry in Alexandria.
Kinematic intensities with the Lorentz-polarization factor, no thermal factor.

Structural model:
Cell lengths 8.888, 8.888, 8.888 Å; angles 37.70, 37.70, 37.70 degrees
Atoms (fractional coordinates):
Tb (0.072, 0.072, 0.072)
Tb (0.928, 0.928, 0.928)
Pm (0.215, 0.215, 0.215)
Pm (0.785, 0.785, 0.785)
Nd (0.361, 0.361, 0.361)
Nd (0.639, 0.639, 0.639)
Ho (0.500, 0.500, 0.500)

Principal peaks in the range 10 to 80 degrees two-theta, sorted by position:
- d = 2.881 Å, I = 100
- d = 2.872 Å, I = 100
- d = 2.034 Å, I = 37
- d = 1.665 Å, I = 19
- d = 1.659 Å, I = 59
- d = 1.440 Å, I = 12
- d = 1.436 Å, I = 12
- d = 1.288 Å, I = 16
- d = 1.285 Å, I = 17